Record 1
This entry pairs a crystal structure of ErSc3Hg4 with its simulated powder XRD pattern. Radiation: a wavelength of 1.5418 Å. Structure: a DFT-relaxed cell (PBE, Alexandria).
Peak positions follow from Bragg's law for the DFT cell and can differ from measured ones.

Crystal structure
```
data_ErSc3Hg4
_cell_length_a 5.0096
_cell_length_b 5.0096
_cell_length_c 7.2241
_cell_angle_alpha 90.00
_cell_angle_beta 90.00
_cell_angle_gamma 90.00
_space_group_name_H-M_alt 'P 4/m m m'
_space_group_IT_number 123
_space_group_name_Hall '-P 4 2'
loop_
_atom_site_label
_atom_site_type_symbol
_atom_site_fract_x
_atom_site_fract_y
_atom_site_fract_z
_atom_site_occupancy
Er1 Er 0.0000 0.0000 0.0000 1
Sc1 Sc 0.0000 0.0000 0.5000 1
Sc2 Sc 0.5000 0.5000 0.0000 1
Sc3 Sc 0.5000 0.5000 0.5000 1
Hg1 Hg 0.0000 0.5000 0.2595 1
```

Top 10 peaks for 2θ = 10–90°, most intense first:
- d = 2.529 Å, rel. 1000, hkl 1 1 2
- d = 2.505 Å, rel. 492, hkl 2 0 0
- d = 1.451 Å, rel. 358, hkl 3 1 2
- d = 3.542 Å, rel. 245, hkl 1 1 0
- d = 1.465 Å, rel. 179, hkl 2 0 4
- d = 1.771 Å, rel. 174, hkl 2 2 0
- d = 3.612 Å, rel. 125, hkl 0 0 2
- d = 2.058 Å, rel. 117, hkl 2 0 2
- d = 1.265 Å, rel. 111, hkl 2 2 4
- d = 1.806 Å, rel. 89, hkl 0 0 4

=====

Record 2
This entry pairs a crystal structure of Er3ScHg7 with its simulated powder XRD pattern. Radiation: a wavelength of 1.5418 Å. Structure: a DFT-relaxed cell (PBE, Alexandria).
Peak positions follow from Bragg's law for the DFT cell and can differ from measured ones.

Crystal structure
```
data_Er3ScHg7
_cell_length_a 3.5822
_cell_length_b 32.6408
_cell_length_c 11.1453
_cell_angle_alpha 90.00
_cell_angle_beta 90.00
_cell_angle_gamma 90.00
_space_group_name_H-M_alt 'C m c m'
_space_group_IT_number 63
_space_group_name_Hall '-C 2c 2'
loop_
_atom_site_label
_atom_site_type_symbol
_atom_site_fract_x
_atom_site_fract_y
_atom_site_fract_z
_atom_site_occupancy
Er1 Er 0.0000 0.0617 0.0757 1
Er2 Er 0.0000 0.1779 0.7500 1
Sc1 Sc 0.0000 0.0763 0.7500 1
Hg1 Hg 0.0000 0.2747 0.0754 1
Hg2 Hg 0.0000 0.3763 0.0718 1
Hg3 Hg 0.0000 0.3887 0.7500 1
Hg4 Hg 0.0000 0.4822 0.1202 1
```

Top 10 peaks for 2θ = 10–90°, most intense first:
- d = 2.571 Å, rel. 1000, hkl 1 1 3
- d = 2.549 Å, rel. 961, hkl 1 9 0
- d = 2.452 Å, rel. 914, hkl 0 10 3
- d = 6.584 Å, rel. 385, hkl 0 4 1
- d = 1.446 Å, rel. 378, hkl 2 10 3
- d = 1.791 Å, rel. 332, hkl 2 0 0
- d = 1.501 Å, rel. 321, hkl 1 9 6
- d = 1.430 Å, rel. 303, hkl 1 19 3
- d = 3.023 Å, rel. 241, hkl 1 5 1
- d = 1.858 Å, rel. 212, hkl 0 0 6

=====

Record 3
This entry pairs a crystal structure of ErSc3Hg2 with its simulated powder XRD pattern. Radiation: a wavelength of 1.5418 Å. Structure: a DFT-relaxed cell (PBE, Alexandria).
Peak positions follow from Bragg's law for the DFT cell and can differ from measured ones.

Crystal structure
```
data_ErSc3Hg2
_cell_length_a 4.8795
_cell_length_b 8.6895
_cell_length_c 6.7200
_cell_angle_alpha 90.00
_cell_angle_beta 90.00
_cell_angle_gamma 90.00
_space_group_name_H-M_alt 'P m c 21'
_space_group_IT_number 26
loop_
_space_group_symop_operation_xyz
'x,y,z'
'-x,-y,z+1/2'
'-x,y,z'
'x,-y,z+1/2'
loop_
_atom_site_label
_atom_site_type_symbol
_atom_site_fract_x
_atom_site_fract_y
_atom_site_fract_z
_atom_site_occupancy
Er1 Er 0.0000 0.0493 0.0000 1
Sc1 Sc 0.0000 0.3303 0.6641 1
Sc2 Sc 0.5000 0.1813 0.3097 1
Sc3 Sc 0.5000 0.4513 0.9719 1
Hg1 Hg 0.0000 0.3500 0.2324 1
Hg2 Hg 0.5000 0.1543 0.7416 1
```

Top 10 peaks for 2θ = 10–90°, most intense first:
- d = 2.637 Å, rel. 1000, hkl 1 1 2
- d = 2.491 Å, rel. 748, hkl 1 3 0
- d = 3.595 Å, rel. 732, hkl 1 1 1
- d = 3.649 Å, rel. 530, hkl 0 2 1
- d = 2.440 Å, rel. 481, hkl 2 0 0
- d = 2.658 Å, rel. 359, hkl 0 2 2
- d = 2.028 Å, rel. 228, hkl 2 2 1
- d = 1.797 Å, rel. 223, hkl 2 2 2
- d = 2.001 Å, rel. 219, hkl 1 3 2
- d = 8.690 Å, rel. 214, hkl 0 1 0

=====

Record 4
This entry pairs a crystal structure of Er4ScHg5 with its simulated powder XRD pattern. Radiation: a wavelength of 1.5418 Å. Structure: a DFT-relaxed cell (PBE, Alexandria).
Peak positions follow from Bragg's law for the DFT cell and can differ from measured ones.

Crystal structure
```
data_Er4ScHg5
_cell_length_a 3.6531
_cell_length_b 3.6531
_cell_length_c 18.3355
_cell_angle_alpha 90.00
_cell_angle_beta 90.00
_cell_angle_gamma 90.00
_space_group_name_H-M_alt 'P 4/m m m'
_space_group_IT_number 123
_space_group_name_Hall '-P 4 2'
loop_
_atom_site_label
_atom_site_type_symbol
_atom_site_fract_x
_atom_site_fract_y
_atom_site_fract_z
_atom_site_occupancy
Er1 Er 0.0000 0.0000 0.1020 1
Er2 Er 0.0000 0.0000 0.3055 1
Sc1 Sc 0.0000 0.0000 0.5000 1
Hg1 Hg 0.5000 0.5000 0.0000 1
Hg2 Hg 0.5000 0.5000 0.2038 1
Hg3 Hg 0.5000 0.5000 0.4086 1
```

Top 10 peaks for 2θ = 10–90°, most intense first:
- d = 2.586 Å, rel. 1000, hkl 1 1 0
- d = 1.492 Å, rel. 247, hkl 2 1 5
- d = 1.827 Å, rel. 122, hkl 2 0 0
- d = 1.495 Å, rel. 115, hkl 1 1 10
- d = 1.155 Å, rel. 113, hkl 3 1 0
- d = 1.294 Å, rel. 71, hkl 2 0 10
- d = 1.834 Å, rel. 56, hkl 0 0 10
- d = 1.159 Å, rel. 46, hkl 1 0 15
- d = 1.292 Å, rel. 40, hkl 2 2 0
- d = 3.658 Å, rel. 34, hkl 1 0 0

=====

Record 5
This entry pairs a crystal structure of Er2ScHg6 with its simulated powder XRD pattern. Radiation: a wavelength of 1.5418 Å. Structure: a DFT-relaxed cell (PBE, Alexandria).
Peak positions follow from Bragg's law for the DFT cell and can differ from measured ones.

Crystal structure
```
data_Er2ScHg6
_cell_length_a 14.7476
_cell_length_b 8.5355
_cell_length_c 3.3355
_cell_angle_alpha 90.00
_cell_angle_beta 90.29
_cell_angle_gamma 90.00
_space_group_name_H-M_alt 'C 1 2/m 1'
_space_group_IT_number 12
loop_
_space_group_symop_operation_xyz
'x,y,z'
'-x,-y,-z'
'-x,y,-z'
'x,-y,z'
'x+1/2,y+1/2,z'
'-x+1/2,-y+1/2,-z'
'-x+1/2,y+1/2,-z'
'x+1/2,-y+1/2,z'
loop_
_atom_site_label
_atom_site_type_symbol
_atom_site_fract_x
_atom_site_fract_y
_atom_site_fract_z
_atom_site_occupancy
Er1 Er 0.1668 0.0000 0.0002 1
Sc1 Sc 0.0000 0.5000 0.0000 1
Hg1 Hg 0.0000 0.1684 0.5000 1
Hg2 Hg 0.1657 0.3345 0.4976 1
```

Top 10 peaks for 2θ = 10–90°, most intense first:
- d = 2.461 Å, rel. 1000, hkl 6 0 0
- d = 2.630 Å, rel. 612, hkl 3 1 -1
- d = 2.621 Å, rel. 304, hkl 3 1 1
- d = 3.335 Å, rel. 202, hkl 0 0 1
- d = 1.798 Å, rel. 201, hkl 0 4 1
- d = 1.452 Å, rel. 199, hkl 6 4 -1
- d = 1.383 Å, rel. 168, hkl 6 0 -2
- d = 1.983 Å, rel. 149, hkl 6 0 -1
- d = 1.420 Å, rel. 122, hkl 9 3 0
- d = 1.379 Å, rel. 111, hkl 3 3 2

=====

Record 6
This entry pairs a crystal structure of SmErSc2Hg4 with its simulated powder XRD pattern. Radiation: a wavelength of 1.5418 Å. Structure: a DFT-relaxed cell (PBE, Alexandria).
Peak positions follow from Bragg's law for the DFT cell and can differ from measured ones.

Crystal structure
```
data_SmErSc2Hg4
_cell_length_a 5.1392
_cell_length_b 5.1392
_cell_length_c 25.2930
_cell_angle_alpha 90.00
_cell_angle_beta 90.00
_cell_angle_gamma 120.00
_space_group_name_H-M_alt 'R -3 m'
_space_group_IT_number 166
_space_group_name_Hall '-R 3 2"'
loop_
_atom_site_label
_atom_site_type_symbol
_atom_site_fract_x
_atom_site_fract_y
_atom_site_fract_z
_atom_site_occupancy
Sm1 Sm 0.0000 0.0000 0.0000 1
Er1 Er 0.0000 0.0000 0.5000 1
Sc1 Sc 0.0000 0.0000 0.2496 1
Hg1 Hg 0.0000 0.0000 0.1269 1
Hg2 Hg 0.0000 0.0000 0.3775 1
```

Top 10 peaks for 2θ = 10–90°, most intense first:
- d = 2.570 Å, rel. 1000, hkl 1 1 0
- d = 2.577 Å, rel. 1000, hkl 0 1 8
- d = 1.485 Å, rel. 555, hkl 3 0 0
- d = 1.820 Å, rel. 358, hkl 2 0 8
- d = 3.640 Å, rel. 254, hkl 1 0 4
- d = 1.490 Å, rel. 182, hkl 1 0 16
- d = 1.150 Å, rel. 166, hkl 3 1 8
- d = 1.152 Å, rel. 162, hkl 2 1 16
- d = 4.202 Å, rel. 159, hkl 0 1 2
- d = 1.285 Å, rel. 116, hkl 2 2 0